# TbCe6Sn10
Simulated PXRD pattern, Cu Kα (weighted mean of Kα1 and Kα2). Input: the GGA-PBE geometry in Alexandria.

Peak list (8 most intense, 10° ≤ 2θ ≤ 90°, by angle)
| Position (°2θ) | d (Å) | intensity |
| --- | --- | --- |
| 32.51 | 2.754 | 79 |
| 33.21 | 2.698 | 77 |
| 34.21 | 2.621 | 100 |
| 42.75 | 2.115 | 21 |
| 48.42 | 1.880 | 24 |
| 51.28 | 1.782 | 14 |
| 59.98 | 1.542 | 14 |
| 68.75 | 1.365 | 13 |

Structural model:
```
TbCe6Sn10
1.0
9.3444 0.0000 0.0000
-4.6722 8.0925 0.0000
0.0000 0.0000 6.3325
Tb Ce Sn
1 6 10
Direct
0.0000 0.0000 0.0000
0.0000 0.3873 0.7672
0.0000 0.6127 0.2328
0.3873 0.0000 0.7672
0.3873 0.3873 0.2328
0.6127 0.0000 0.2328
0.6127 0.6127 0.7672
0.0000 0.2632 0.2981
0.0000 0.7368 0.7019
0.2632 0.0000 0.2981
0.2632 0.2632 0.7019
0.3333 0.6667 0.0000
0.3333 0.6667 0.5000
0.6667 0.3333 0.0000
0.6667 0.3333 0.5000
0.7368 0.0000 0.7019
0.7368 0.7368 0.2981
```